Starting from a structure optimized by DFT (PBE), the powder X-ray diffraction pattern of PuMg4Tl2 was calculated for a wavelength of 1.5418 Å.
Peak positions follow from Bragg's law for the DFT cell and can differ from measured ones.

Atomic structure:
Cell: 8.5813 8.5813 8.5813 Å, 33.80 33.80 33.80°
Fractional coordinates of all 7 atoms:
Pu 0.0000 0.0000 0.0000
Mg 0.1406 0.1406 0.1406
Mg 0.4266 0.4266 0.4266
Mg 0.5734 0.5734 0.5734
Mg 0.8594 0.8594 0.8594
Tl 0.2699 0.2699 0.2699
Tl 0.7301 0.7301 0.7301

Main lines, low angle first (10 to 80 degrees two-theta):
| 2θ (°) | I_rel |
| --- | --- |
| 10.95 | 82 |
| 25.31 | 100 |
| 33.14 | 77 |
| 36.00 | 81 |
| 36.20 | 29 |
| 37.74 | 28 |
| 49.74 | 26 |
| 62.91 | 25 |